Record 1
The following is a computed XRD peak list of Sr3Pm4S8. It was derived from a DFT-relaxed cell (GGA-PBE, Alexandria), using Cu Kα (weighted mean of Kα1 and Kα2).
Kinematic intensities with the Lorentz-polarization factor, no thermal factor.

Largest 10 diffraction maxima, in order of falling intensity, 10° ≤ 2θ ≤ 80°:
d [Å]	I (rel.)
2.927	100.0
2.915	49.5
3.390	39.0
3.359	37.9
2.069	35.9
2.064	35.7
6.780	29.4
1.695	18.7
1.680	18.4
2.081	18.2

Structural model:
Cell: 11.660 11.688 8.211 Å, 90.00 134.45 90.00°
Space group C2/m (No. 12)
Inequivalent atoms, fractional coordinates:
Sr (0.000, 0.000, 0.000) (multiplicity 2)
Sr (0.250, 0.250, 0.000) (multiplicity 4)
Pm (0.000, 0.500, 0.000) (multiplicity 2)
Pm (0.000, 0.500, 0.500) (multiplicity 2)
Pm (0.250, 0.250, 0.500) (multiplicity 4)
S (0.000, 0.254, 0.000) (multiplicity 4)
S (0.000, 0.257, 0.500) (multiplicity 4)
S (0.232, 0.500, 0.979) (multiplicity 4)
S (0.240, 0.500, 0.490) (multiplicity 4)

=====

Record 2
The following is a computed XRD peak list of CrGa3Co2Se8. It was derived from a DFT-relaxed cell (GGA-PBE, Alexandria), using Cu Kα (weighted mean of Kα1 and Kα2).
Kinematic intensities with the Lorentz-polarization factor, no thermal factor.

Largest 10 diffraction maxima, in order of falling intensity, 10° ≤ 2θ ≤ 80°:
d [Å]	I (rel.)
1.907	100.0
4.401	41.1
2.853	38.4
3.294	34.9
3.259	33.0
2.748	31.1
3.049	26.3
2.537	22.3
1.903	18.2
1.981	14.7

Structural model:
Cell: 26.492 3.812 6.613 Å, 90.00 94.67 90.00°
Space group Cm (No. 8)
Inequivalent atoms, fractional coordinates:
Cr (0.000, 0.000, 0.000) (multiplicity 2)
Ga (0.146, 0.000, 0.384) (multiplicity 2)
Ga (0.148, 0.500, 0.894) (multiplicity 2)
Ga (0.498, 0.000, 0.508) (multiplicity 2)
Co (0.287, 0.000, 0.766) (multiplicity 2)
Co (0.288, 0.500, 0.269) (multiplicity 2)
Se (0.091, 0.500, 0.537) (multiplicity 2)
Se (0.092, 0.000, 0.034) (multiplicity 2)
Se (0.199, 0.000, 0.738) (multiplicity 2)
Se (0.200, 0.500, 0.243) (multiplicity 2)
Se (0.314, 0.500, 0.944) (multiplicity 2)
Se (0.316, 0.000, 0.445) (multiplicity 2)
Se (0.458, 0.000, 0.829) (multiplicity 2)
Se (0.459, 0.500, 0.324) (multiplicity 2)

=====

Record 3
The following is a computed XRD peak list of La12MgPb4N3. It was derived from a DFT-relaxed cell (GGA-PBE, Alexandria), using Cu Kα (weighted mean of Kα1 and Kα2).
Kinematic intensities with the Lorentz-polarization factor, no thermal factor.

Largest 10 diffraction maxima, in order of falling intensity, 10° ≤ 2θ ≤ 80°:
d [Å]	I (rel.)
3.057	100.0
2.648	56.5
1.597	40.5
1.872	38.7
1.215	14.9
1.529	12.6
3.745	6.2
1.324	5.7
1.441	2.5
1.675	2.3

Structural model:
Cell: 10.591 10.591 10.591 Å, 90.00 90.00 90.00°
Space group Im-3m (No. 229)
Inequivalent atoms, fractional coordinates:
La (0.000, 0.000, 0.278) (multiplicity 12)
La (0.000, 0.250, 0.500) (multiplicity 12)
Mg (0.000, 0.000, 0.000) (multiplicity 2)
Pb (0.250, 0.250, 0.250) (multiplicity 8)
N (0.000, 0.000, 0.500) (multiplicity 6)

=====

Record 4
The following is a computed XRD peak list of PmPr4Dy4. It was derived from a DFT-relaxed cell (GGA-PBE, Alexandria), using Cu Kα (weighted mean of Kα1 and Kα2).
Kinematic intensities with the Lorentz-polarization factor, no thermal factor.

Largest 10 diffraction maxima, in order of falling intensity, 10° ≤ 2θ ≤ 80°:
d [Å]	I (rel.)
2.966	100.0
2.571	33.9
1.550	21.6
1.818	18.2
2.563	16.8
1.548	14.3
1.815	12.1
1.545	7.1
1.485	6.2
1.481	6.2

Structural model:
Cell: 11.450 5.142 10.912 Å, 90.00 108.35 90.00°
Space group C2/m (No. 12)
Inequivalent atoms, fractional coordinates:
Pm (0.000, 0.000, 0.000) (multiplicity 2)
Pr (0.002, 0.000, 0.334) (multiplicity 4)
Pr (0.166, 0.500, 0.888) (multiplicity 4)
Dy (0.166, 0.500, 0.554) (multiplicity 4)
Dy (0.170, 0.500, 0.226) (multiplicity 4)

=====

Record 5
The following is a computed XRD peak list of PmHo2Ga4. It was derived from a DFT-relaxed cell (GGA-PBE, Alexandria), using Cu Kα (weighted mean of Kα1 and Kα2).
Kinematic intensities with the Lorentz-polarization factor, no thermal factor.

Largest 10 diffraction maxima, in order of falling intensity, 10° ≤ 2θ ≤ 80°:
d [Å]	I (rel.)
2.836	100.0
2.779	50.2
2.206	26.2
2.147	25.8
3.427	23.4
2.075	23.3
1.663	21.7
2.496	20.2
2.129	19.7
1.539	18.7

Structural model:
Cell: 4.149 4.294 18.232 Å, 90.00 90.00 90.00°
Space group Immm (No. 71)
Inequivalent atoms, fractional coordinates:
Pm (0.000, 0.000, 0.000) (multiplicity 2)
Ho (0.000, 0.500, 0.315) (multiplicity 4)
Ga (0.000, 0.000, 0.432) (multiplicity 4)
Ga (0.000, 0.500, 0.148) (multiplicity 4)

=====

> Number 3 is which compound?

La12MgPb4N3

=====

Please write out number 5 again, unchanged.
The following is a computed XRD peak list of PmHo2Ga4. It was derived from a DFT-relaxed cell (GGA-PBE, Alexandria), using Cu Kα (weighted mean of Kα1 and Kα2).
Kinematic intensities with the Lorentz-polarization factor, no thermal factor.

Largest 10 diffraction maxima, in order of falling intensity, 10° ≤ 2θ ≤ 80°:
d [Å]	I (rel.)
2.836	100.0
2.779	50.2
2.206	26.2
2.147	25.8
3.427	23.4
2.075	23.3
1.663	21.7
2.496	20.2
2.129	19.7
1.539	18.7

Structural model:
Cell: 4.149 4.294 18.232 Å, 90.00 90.00 90.00°
Space group Immm (No. 71)
Inequivalent atoms, fractional coordinates:
Pm (0.000, 0.000, 0.000) (multiplicity 2)
Ho (0.000, 0.500, 0.315) (multiplicity 4)
Ga (0.000, 0.000, 0.432) (multiplicity 4)
Ga (0.000, 0.500, 0.148) (multiplicity 4)